1.
Starting from a GGA-PBE-relaxed structure, the PXRD pattern of Cs2S was simulated for CuKα.
Peak positions follow from Bragg's law for the DFT cell and can differ from measured ones.

Most intense lines, 2θ = 10–80°, low angle first:
20.60 deg, intensity 31.4, (1 0 1)
27.95 deg, intensity 100.0, (1 0 2)
30.58 deg, intensity 75.8, (1 1 0)
41.90 deg, intensity 32.5, (2 0 2)
44.05 deg, intensity 9.0, (0 0 4)
52.76 deg, intensity 32.8, (2 1 2)
54.35 deg, intensity 14.3, (3 0 0)
54.57 deg, intensity 28.3, (1 1 4)
70.91 deg, intensity 13.7, (3 1 2)
72.45 deg, intensity 12.3, (3 0 4)

Crystal structure
```
Cs2S
1.0
5.847 0.000 0.000
-2.924 5.064 0.000
0.000 0.000 8.223
Cs S
4 2
Direct
0.000 0.000 0.000
0.000 0.000 0.500
0.333 0.667 0.250
0.667 0.333 0.750
0.333 0.667 0.750
0.667 0.333 0.250
```

=====

2.
Starting from a GGA-PBE-relaxed structure, the PXRD pattern of Cs2S5 was simulated for CuKα.
Peak positions follow from Bragg's law for the DFT cell and can differ from measured ones.

Most intense lines, 2θ = 10–80°, low angle first:
17.94 deg, intensity 31.9, (1 1 1)
18.34 deg, intensity 26.6, (0 1 3)
19.66 deg, intensity 30.1, (1 1 2)
22.25 deg, intensity 30.0, (1 1 3)
25.83 deg, intensity 30.1, (0 2 2)
26.41 deg, intensity 31.0, (1 0 5)
27.61 deg, intensity 45.8, (1 2 1)
27.90 deg, intensity 72.9, (0 0 6)
28.80 deg, intensity 100.0, (2 0 3)
30.52 deg, intensity 27.1, (0 2 4)

Crystal structure
```
Cs2S5
1.0
7.087 0.000 0.000
0.000 7.394 0.000
0.000 0.000 19.190
Cs S
8 20
Direct
0.074 0.246 0.166
0.115 0.078 0.515
0.385 0.922 0.015
0.426 0.754 0.666
0.574 0.254 0.834
0.615 0.422 0.485
0.885 0.578 0.985
0.926 0.746 0.334
0.022 0.735 0.154
0.068 0.901 0.813
0.073 0.122 0.880
0.081 0.574 0.531
0.242 0.695 0.851
0.258 0.305 0.351
0.419 0.426 0.031
0.427 0.878 0.380
0.432 0.099 0.313
0.478 0.265 0.654
0.522 0.765 0.846
0.568 0.599 0.187
0.573 0.378 0.120
0.581 0.926 0.469
0.742 0.805 0.149
0.758 0.195 0.649
0.919 0.074 0.969
0.927 0.622 0.620
0.932 0.401 0.687
0.978 0.235 0.346
```

=====

3.
Starting from a GGA-PBE-relaxed structure, the PXRD pattern of Cs2S was simulated for CuKα.
Peak positions follow from Bragg's law for the DFT cell and can differ from measured ones.

Most intense lines, 2θ = 10–80°, low angle first:
25.61 deg, intensity 100.0, (1 1 2)
26.00 deg, intensity 43.5, (2 1 0)
27.35 deg, intensity 89.3, (2 1 1)
30.29 deg, intensity 29.4, (0 1 3)
31.57 deg, intensity 25.8, (3 0 1)
32.94 deg, intensity 37.4, (0 2 0)
43.31 deg, intensity 18.6, (1 2 3)
46.24 deg, intensity 29.8, (0 1 5)
49.36 deg, intensity 26.4, (3 1 4)
55.44 deg, intensity 20.5, (5 1 1)

Crystal structure
```
Cs2S
1.0
8.828 0.000 0.000
0.000 5.438 0.000
0.000 0.000 10.539
Cs S
8 4
Direct
0.023 0.250 0.169
0.146 0.250 0.574
0.354 0.750 0.074
0.477 0.750 0.669
0.523 0.250 0.331
0.646 0.250 0.926
0.854 0.750 0.426
0.977 0.750 0.831
0.246 0.250 0.891
0.254 0.750 0.391
0.746 0.250 0.609
0.754 0.750 0.109
```

=====

4.
Starting from a GGA-PBE-relaxed structure, the PXRD pattern of CsSbS6 was simulated for CuKα.
Peak positions follow from Bragg's law for the DFT cell and can differ from measured ones.

Most intense lines, 2θ = 10–80°, low angle first:
20.03 deg, intensity 53.8, (1 1 1)
22.95 deg, intensity 100.0, (1 3 0)
23.60 deg, intensity 50.7, (0 3 2)
25.31 deg, intensity 35.8, (1 3 -2)
26.85 deg, intensity 50.5, (0 2 3)
29.66 deg, intensity 56.4, (2 1 -1)
29.92 deg, intensity 41.3, (2 0 -2)
32.97 deg, intensity 32.8, (1 1 3)
41.38 deg, intensity 42.1, (2 5 -1)
50.80 deg, intensity 37.2, (0 5 5)

Crystal structure
```
CsSbS6
1.0
6.144 0.000 0.000
0.000 15.506 0.000
-3.492 0.000 11.024
Cs Sb S
4 4 24
Direct
0.201 0.085 0.307
0.201 0.415 0.807
0.799 0.585 0.193
0.799 0.915 0.693
0.409 0.090 0.885
0.409 0.410 0.385
0.591 0.590 0.615
0.591 0.910 0.115
0.088 0.185 0.581
0.088 0.315 0.081
0.181 0.618 0.619
0.181 0.882 0.119
0.236 0.720 0.738
0.236 0.780 0.238
0.243 0.676 0.909
0.243 0.824 0.409
0.248 0.069 0.638
0.248 0.431 0.138
0.392 0.566 0.373
0.392 0.934 0.873
0.608 0.066 0.127
0.608 0.434 0.627
0.752 0.569 0.862
0.752 0.931 0.362
0.757 0.176 0.591
0.757 0.324 0.091
0.764 0.220 0.762
0.764 0.280 0.262
0.819 0.118 0.881
0.819 0.382 0.381
0.912 0.685 0.919
0.912 0.815 0.419
```